Record 1
# LiAuS4O14
Simulated X-ray diffraction stick pattern, λ = 1.5418 Å (Cu Kα). Input: a cell relaxed with GGA-PBE.
Lines closer than 0.1° are merged.

Main lines, by angle (2θ from 5° to 70°):
hkl 0 0 1, 2θ = 10.77°, I 80; hkl 0 1 0, 2θ = 14.18°, I 100; hkl 0 1 -1, 2θ = 15.01°, I 73; hkl 1 0 0, 2θ = 16.50°, I 34; hkl 1 0 -1, 2θ = 18.76°, I 93; hkl -1 1 1, 2θ = 23.12°, I 86; hkl 1 1 1, 2θ = 29.08°, I 34; hkl 0 2 -2, 2θ = 30.29°, I 38

Structure:
```
data_LiAuS4O14
_space_group_name_H-M_alt 'P -1'
_space_group_IT_number 2
_cell_length_a 5.543
_cell_length_b 6.720
_cell_length_c 8.617
_cell_angle_alpha 106.60
_cell_angle_beta 91.95
_cell_angle_gamma 102.90
loop_
_space_group_symop_operation_xyz
'x,y,z'
'-x,-y,-z'
loop_
_atom_site_label
_atom_site_type_symbol
_atom_site_fract_x
_atom_site_fract_y
_atom_site_fract_z
Li1 Li 0.000 0.000 0.000
Au1 Au 0.000 0.500 0.500
S1 S 0.160 0.307 0.757
S2 S 0.436 0.738 0.768
O1 O 0.044 0.597 0.298
O2 O 0.093 0.260 0.904
O3 O 0.234 0.154 0.627
O4 O 0.276 0.855 0.861
O5 O 0.300 0.172 0.210
O6 O 0.357 0.663 0.584
O7 O 0.409 0.516 0.818
```

Record 2
# ZrSn
Simulated X-ray diffraction stick pattern, λ = 1.5418 Å (Cu Kα). Input: a cell relaxed with GGA-PBE.
Lines closer than 0.1° are merged.

Main lines, by angle (2θ from 5° to 70°):
hkl 1 0 0, 2θ = 24.87°, I 2; hkl 1 1 0, 2θ = 35.46°, I 100; hkl 1 1 1, 2θ = 43.80°, I 1; hkl 2 0 0, 2θ = 51.02°, I 18; hkl 2 1 0, 2θ = 57.57°, I 1; hkl 2 1 1, 2θ = 63.67°, I 37

Structure:
```
data_ZrSn
_space_group_name_H-M_alt 'P m -3 m'
_space_group_IT_number 221
_space_group_name_Hall '-P 4 2 3'
_cell_length_a 3.580
_cell_length_b 3.580
_cell_length_c 3.580
_cell_angle_alpha 90.00
_cell_angle_beta 90.00
_cell_angle_gamma 90.00
loop_
_atom_site_label
_atom_site_type_symbol
_atom_site_fract_x
_atom_site_fract_y
_atom_site_fract_z
Zr1 Zr 0.000 0.000 0.000
Sn1 Sn 0.500 0.500 0.500
```

Record 3
# Sb4Te7Pb
Simulated X-ray diffraction stick pattern, λ = 1.5418 Å (Cu Kα). Input: a cell relaxed with GGA-PBE.
Lines closer than 0.1° are merged.

Main lines, by angle (2θ from 5° to 70°):
hkl 0 1 4, 2θ = 27.77°, I 100; hkl 1 0 8, 2θ = 38.09°, I 37; hkl 1 1 0, 2θ = 41.22°, I 36; hkl 0 0 12, 2θ = 45.03°, I 6; hkl 2 0 4, 2θ = 50.43°, I 19; hkl 0 2 8, 2θ = 57.37°, I 11; hkl 1 1 12, 2θ = 62.68°, I 13; hkl 1 2 4, 2θ = 67.09°, I 16

Structure:
```
data_Sb4Te7Pb
_space_group_name_H-M_alt 'P -3 m 1'
_space_group_IT_number 164
_space_group_name_Hall '-P 3 2"'
_cell_length_a 4.3804
_cell_length_b 4.3804
_cell_length_c 24.1576
_cell_angle_alpha 90.00
_cell_angle_beta 90.00
_cell_angle_gamma 120.00
loop_
_atom_site_label
_atom_site_type_symbol
_atom_site_fract_x
_atom_site_fract_y
_atom_site_fract_z
Sb1 Sb 0.3333 0.6667 0.0806
Sb2 Sb 0.3333 0.6667 0.3340
Te1 Te 0.0000 0.0000 0.0000
Te2 Te 0.0000 0.0000 0.2652
Te3 Te 0.3333 0.6667 0.5844
Te4 Te 0.3333 0.6667 0.8497
Pb1 Pb 0.0000 0.0000 0.5000
```

Repeat the second record exactly.
# ZrSn
Simulated X-ray diffraction stick pattern, λ = 1.5418 Å (Cu Kα). Input: a cell relaxed with GGA-PBE.
Lines closer than 0.1° are merged.

Main lines, by angle (2θ from 5° to 70°):
hkl 1 0 0, 2θ = 24.87°, I 2; hkl 1 1 0, 2θ = 35.46°, I 100; hkl 1 1 1, 2θ = 43.80°, I 1; hkl 2 0 0, 2θ = 51.02°, I 18; hkl 2 1 0, 2θ = 57.57°, I 1; hkl 2 1 1, 2θ = 63.67°, I 37

Structure:
```
data_ZrSn
_space_group_name_H-M_alt 'P m -3 m'
_space_group_IT_number 221
_space_group_name_Hall '-P 4 2 3'
_cell_length_a 3.580
_cell_length_b 3.580
_cell_length_c 3.580
_cell_angle_alpha 90.00
_cell_angle_beta 90.00
_cell_angle_gamma 90.00
loop_
_atom_site_label
_atom_site_type_symbol
_atom_site_fract_x
_atom_site_fract_y
_atom_site_fract_z
Zr1 Zr 0.000 0.000 0.000
Sn1 Sn 0.500 0.500 0.500
```